For Pm2Dy8Tm3, a PBE-relaxed structure gives the calculated powder diffraction line list in this record (Cu Kα).
Neutral-atom scattering factors, no anomalous dispersion.

Structure:
```
26
Lattice="12.1774 0.0000 0.0000 0.0000 19.3695 0.0000 0.0000 0.0000 3.5449" Properties=species:S:1:pos:R:3 pbc="T T T"
Pm 2.0481 2.5050 0.0000
Pm 4.0406 12.1898 0.0000
Pm 8.1368 7.1797 0.0000
Pm 10.1294 16.8645 0.0000
Dy 0.2048 11.3015 0.0000
Dy 1.4733 16.7155 0.0000
Dy 1.8210 5.7794 1.7724
Dy 2.5681 9.3152 1.7724
Dy 3.5207 18.9999 1.7724
Dy 4.2677 15.4642 1.7724
Dy 4.6154 7.0307 0.0000
Dy 5.8839 1.6167 0.0000
Dy 6.2936 17.7528 0.0000
Dy 7.5620 12.3388 0.0000
Dy 7.9097 3.9054 1.7724
Dy 8.6568 0.3696 1.7724
Dy 9.6094 10.0544 1.7724
Dy 10.3565 13.5901 1.7724
Dy 10.7041 2.6540 0.0000
Dy 11.9726 8.0681 0.0000
Tm 0.0000 0.0000 1.7724
Tm 1.5019 13.7976 1.7724
Tm 4.5868 4.1129 1.7724
Tm 6.0887 9.6848 1.7724
Tm 7.5906 15.2566 1.7724
Tm 10.6755 5.5719 1.7724
```

Principal peaks in the range 2θ from 15° to 90°, low angle first:
hkl	2θ/deg	Rel. int.
1 3 1	29.68	58
4 2 0	30.79	47
0 4 1	31.28	100
3 5 0	31.93	74
1 7 0	33.20	45
3 1 1	33.89	83
4 2 1	40.14	19
0 0 2	51.56	27
4 8 1	54.94	21
3 5 2	61.94	23